# 1
Th3Cu2Sn2: calculated XRD peak list (copper Kα), based on a cell relaxed with GGA-PBE.
Intensities are scaled so that the largest is 100.

Atomic structure:
Lattice parameters (Å, degrees): 4.2509 4.3967 19.2458 90.00 90.00 90.00
Space group Immm (No. 71)
Asymmetric unit:
1 Th 0.0000 0.0000 0.0000 x2
2 Th 0.0000 0.5000 0.1877 x4
3 Cu 0.0000 0.0000 0.4382 x4
4 Sn 0.0000 0.5000 0.3617 x4

Top 12 peaks for 10 to 80 degrees two-theta, by angle:
h k l	2θ/deg	d/Å	intensity
0 1 3	24.55	3.627	26
0 0 6	27.81	3.208	22
1 1 2	30.70	2.913	100
1 0 5	31.35	2.853	62
1 1 4	34.78	2.580	32
0 1 7	38.62	2.331	34
0 2 0	41.06	2.198	28
2 0 0	42.53	2.125	25
1 2 5	52.55	1.741	30
1 0 11	56.91	1.618	17
2 1 7	58.79	1.571	20
2 2 0	60.60	1.528	18

# 2
CuBiF: calculated XRD peak list (copper Kα), based on a cell relaxed with GGA-PBE.
Intensities are scaled so that the largest is 100.

Atomic structure:
Lattice parameters (Å, degrees): 11.9536 3.2964 6.8223 90.00 124.42 90.00
Space group C2/m (No. 12)
Asymmetric unit:
1 Cu 0.2379 0.0000 0.2745 x4
2 Bi 0.0914 0.5000 0.8816 x4
3 F 0.1536 0.0000 0.4835 x4

Top 12 peaks for 10 to 80 degrees two-theta, by angle:
h k l	2θ/deg	d/Å	intensity
0 0 1	15.75	5.625	55
2 0 -2	26.12	3.411	19
1 1 0	28.55	3.126	44
2 0 1	30.10	2.969	30
4 0 -1	30.26	2.953	39
4 0 -2	32.00	2.797	37
1 1 1	35.26	2.545	100
3 1 -2	39.12	2.303	44
2 0 -3	40.66	2.219	19
2 0 2	45.24	2.004	18
5 1 -1	48.05	1.894	27
3 1 -3	48.64	1.872	19

# 3
Er3PuIn4: calculated XRD peak list (copper Kα), based on a cell relaxed with GGA-PBE.
Intensities are scaled so that the largest is 100.

Atomic structure:
Lattice parameters (Å, degrees): 10.7224 7.1350 5.4868 90.00 90.00 90.00
Space group Pmma (No. 51)
Asymmetric unit:
1 Er 0.0000 0.0000 0.0000 x2
2 Er 0.2500 0.0000 0.4130 x2
3 Er 0.2500 0.5000 0.4092 x2
4 Pu 0.0000 0.5000 0.0000 x2
5 In 0.0000 0.2434 0.5000 x4
6 In 0.2500 0.2436 0.9053 x4

Top 12 peaks for 10 to 80 degrees two-theta, by angle:
h k l	2θ/deg	d/Å	intensity
1 2 1	31.04	2.881	10
0 0 2	32.64	2.743	17
4 0 0	33.43	2.681	32
1 0 2	33.72	2.658	11
2 2 1	34.33	2.612	100
3 0 2	41.50	2.176	8
4 0 2	47.42	1.917	12
0 4 0	51.21	1.784	9
6 2 1	60.34	1.534	20
4 4 0	62.55	1.485	10
3 2 3	62.73	1.481	8
4 4 2	72.36	1.306	7

# 4
Ba6LiNb2IrCl2O12: calculated XRD peak list (copper Kα), based on a cell relaxed with GGA-PBE.
Intensities are scaled so that the largest is 100.

Atomic structure:
Lattice parameters (Å, degrees): 10.8809 5.8482 15.2654 90.00 93.74 90.00
Space group Cm (No. 8)
Asymmetric unit:
1 Ba 0.0000 0.0000 0.0000 x2
2 Ba 0.0099 0.0000 0.5814 x2
3 Ba 0.0371 0.0000 0.2521 x2
4 Ba 0.1293 0.5000 0.4306 x2
5 Ba 0.1485 0.5000 0.8511 x2
6 Ba 0.1931 0.5000 0.1317 x2
7 Li 0.3668 0.5000 0.3813 x2
8 Nb 0.3197 0.0000 0.3975 x2
9 Nb 0.3363 0.0000 0.0283 x2
10 Ir 0.3358 0.0000 0.2155 x2
11 Cl 0.0013 0.0000 0.7919 x2
12 Cl 0.1526 0.5000 0.6389 x2
13 O 0.1648 0.0000 0.4505 x2
14 O 0.1836 0.0000 0.1216 x2
15 O 0.2545 0.2501 0.9696 x4
16 O 0.2630 0.2457 0.3016 x4
17 O 0.4061 0.2472 0.4618 x4
18 O 0.4097 0.2339 0.1302 x4
19 O 0.4823 0.0000 0.3049 x2
20 O 0.4909 0.0000 0.9733 x2

Top 12 peaks for 10 to 80 degrees two-theta, by angle:
h k l	2θ/deg	d/Å	intensity
1 1 -1	18.01	4.924	18
1 1 1	18.36	4.833	20
1 1 -3	24.23	3.673	27
2 0 -4	27.72	3.218	19
3 1 0	29.01	3.078	100
0 0 5	29.31	3.047	23
1 1 4	29.60	3.018	44
0 2 0	30.57	2.924	52
2 2 3	39.74	2.268	15
0 2 5	42.89	2.109	32
3 3 0	53.38	1.716	18
4 2 -5	53.78	1.704	16

# 5
Pr5YHo5: calculated XRD peak list (copper Kα), based on a cell relaxed with GGA-PBE.
Intensities are scaled so that the largest is 100.

Atomic structure:
Lattice parameters (Å, degrees): 6.1515 6.1515 11.8206 90.00 90.00 120.00
Space group P-6m2 (No. 187)
Asymmetric unit:
1 Pr 0.0000 0.0000 0.0000 x1
2 Pr 0.3333 0.6667 0.3154 x2
3 Pr 0.6667 0.3333 0.1538 x2
4 Y 0.3333 0.6667 0.0000 x1
5 Ho 0.0000 0.0000 0.2659 x2
6 Ho 0.3330 0.1665 0.5000 x3

Top 12 peaks for 10 to 80 degrees two-theta, by angle:
h k l	2θ/deg	d/Å	intensity
1 0 3	28.17	3.168	100
1 1 0	29.03	3.076	88
1 1 1	30.02	2.977	29
1 1 2	32.83	2.728	40
2 0 1	34.52	2.599	50
1 0 4	34.71	2.584	43
2 0 2	37.05	2.427	51
2 0 4	45.86	1.979	28
2 1 3	50.93	1.793	39
2 1 4	55.20	1.664	23
2 2 0	60.17	1.538	31
1 1 7	62.77	1.480	18

# 6
Sb2BrCl: calculated XRD peak list (copper Kα), based on a cell relaxed with GGA-PBE.
Intensities are scaled so that the largest is 100.

Atomic structure:
Lattice parameters (Å, degrees): 3.8083 4.8183 14.0914 90.00 90.00 90.00
Space group Imm2 (No. 44)
Asymmetric unit:
1 Sb 0.0000 0.0000 0.0000 x2
2 Sb 0.0000 0.5000 0.3420 x2
3 Br 0.0000 0.5000 0.7837 x2
4 Cl 0.0000 0.0000 0.5220 x2

Top 12 peaks for 10 to 80 degrees two-theta, by angle:
h k l	2θ/deg	d/Å	intensity
0 0 2	12.56	7.046	46
0 1 1	19.47	4.559	32
0 0 4	25.28	3.523	21
1 0 3	30.21	2.958	18
1 1 2	32.55	2.751	100
0 2 0	37.33	2.409	22
1 1 4	39.55	2.279	34
1 0 5	39.79	2.265	14
2 0 0	47.76	1.904	11
0 1 7	49.04	1.857	14
1 2 5	55.69	1.650	10
1 3 2	64.32	1.448	19

# 7
K2Cd3In17: calculated XRD peak list (copper Kα), based on a cell relaxed with GGA-PBE.
Intensities are scaled so that the largest is 100.

Atomic structure:
Lattice parameters (Å, degrees): 11.6754 11.6754 17.1382 90.00 90.00 120.00
Space group R-3m (No. 166, hexagonal axes)
Asymmetric unit:
1 K 0.0000 0.0000 0.1393 x6
2 Cd 0.0000 0.5000 0.5000 x9
3 In 0.0000 0.0000 0.3797 x6
4 In 0.0000 0.2549 0.5000 x18
5 In 0.0000 0.5000 0.0000 x9
6 In 0.0105 0.5052 0.6725 x18

Top 12 peaks for 10 to 80 degrees two-theta, by angle:
h k l	2θ/deg	d/Å	intensity
1 0 1	10.16	8.709	22
1 1 0	15.18	5.838	35
2 2 0	30.63	2.919	91
0 0 6	31.34	2.855	100
2 2 3	34.51	2.599	62
1 1 6	34.97	2.566	29
4 0 1	35.91	2.501	35
0 4 2	37.08	2.425	25
2 2 6	44.38	2.041	49
6 0 0	54.45	1.685	19
4 4 0	63.77	1.459	28
4 4 6	72.77	1.300	27

# 8
NpZnO3F6: calculated XRD peak list (copper Kα), based on a cell relaxed with GGA-PBE.
Intensities are scaled so that the largest is 100.

Atomic structure:
Lattice parameters (Å, degrees): 11.7243 7.2191 9.2879 90.00 103.30 90.00
Space group C2 (No. 5)
Asymmetric unit:
1 Np 0.0000 0.0000 0.0000 x2
2 Np 0.0000 0.2558 0.5000 x2
3 Zn 0.2313 0.8806 0.7368 x4
4 O 0.0000 0.5076 0.5000 x2
5 O 0.0000 0.7505 0.0000 x2
6 O 0.1523 0.5636 0.2442 x4
7 O 0.1912 0.6289 0.7109 x4
8 F 0.0508 0.2834 0.7250 x4
9 F 0.0852 0.9705 0.2178 x4
10 F 0.0984 0.0074 0.5793 x4
11 F 0.1053 0.2306 0.0441 x4
12 F 0.1526 0.9467 0.9030 x4
13 F 0.1667 0.2900 0.4551 x4

Top 12 peaks for 10 to 80 degrees two-theta, by angle:
h k l	2θ/deg	d/Å	intensity
1 1 0	14.52	6.101	87
2 0 0	15.53	5.705	34
1 1 1	18.52	4.791	100
2 0 -2	22.11	4.021	51
1 1 -2	23.00	3.866	23
1 1 2	25.94	3.435	19
3 1 -1	26.31	3.387	37
0 2 1	26.59	3.352	27
2 0 2	27.86	3.202	22
2 2 -1	29.73	3.005	27
4 0 0	31.41	2.848	24
2 4 0	53.26	1.720	21